Simulated PXRD pattern
Compound: PuPa2Ni9
Radiation: Cu Ka
Structure: a structure optimized by DFT (GGA-PBE)
Neutral-atom scattering factors, no anomalous dispersion.

Crystal structure
```
PuPa2Ni9
1.0
4.9193 0.0000 0.0000
-2.4597 4.2603 0.0000
0.0000 0.0000 16.3663
Pu Pa Ni
2 4 18
Cartesian
0.0000 2.8402 4.0916
2.4597 1.4201 12.2747
0.0000 2.8402 0.6948
0.0000 2.8402 7.4884
2.4597 1.4201 8.8780
2.4597 1.4201 15.6715
0.0000 0.0000 0.0000
0.0000 0.0000 4.0916
0.0000 0.0000 8.1832
0.0000 0.0000 12.2747
0.0000 1.4224 10.2386
0.0000 1.4224 14.3109
-1.2279 3.5491 10.2386
-1.2279 3.5491 14.3109
0.0000 2.8402 12.2747
1.2318 0.7112 2.0554
1.2318 0.7112 6.1277
1.2279 3.5491 10.2386
1.2279 3.5491 14.3109
2.4597 1.4201 4.0916
3.6875 0.7112 2.0554
3.6875 0.7112 6.1277
2.4597 2.8379 2.0554
2.4597 2.8379 6.1277
```

Top 6 peaks for 10° ≤ 2θ ≤ 90°, low angle first:
Position (°2θ)  intensity
21.55  19
34.56  79
36.53  52
42.88  100
64.49  27
70.15  16


Simulated PXRD pattern
Compound: Dy2BAsRh6
Radiation: Cu Ka
Structure: a structure optimized by DFT (GGA-PBE)
Neutral-atom scattering factors, no anomalous dispersion.

Crystal structure
```
Dy2BAsRh6
1.0
4.4314 0.0000 0.0000
0.0000 4.4314 0.0000
0.0000 0.0000 8.6860
Dy B As Rh
2 1 1 6
Cartesian
0.0000 0.0000 2.0401
0.0000 0.0000 6.6458
2.2157 2.2157 0.0000
2.2157 2.2157 4.3430
0.0000 2.2157 0.0000
0.0000 2.2157 4.3430
2.2157 0.0000 0.0000
2.2157 0.0000 4.3430
2.2157 2.2157 2.0027
2.2157 2.2157 6.6833
```

Top 6 peaks for 10° ≤ 2θ ≤ 90°, low angle first:
Position (°2θ)  intensity
35.32  100
40.72  49
41.59  21
58.95  16
59.62  29
70.63  26


Simulated PXRD pattern
Compound: ThSc2PaN4
Radiation: Cu Ka
Structure: a structure optimized by DFT (GGA-PBE)
Neutral-atom scattering factors, no anomalous dispersion.

Crystal structure
```
ThSc2PaN4
1.0
5.9030 0.0000 0.0000
0.0000 3.3951 0.0000
-1.9553 0.0000 5.5794
Th Sc Pa N
1 2 1 4
Cartesian
0.0000 0.0000 0.0000
-0.9777 1.6976 2.7897
1.9738 0.0000 2.7897
2.9515 1.6976 0.0000
0.0736 0.0000 4.0851
1.0659 1.6976 1.5044
2.8817 1.6976 4.0750
3.8741 0.0000 1.4943
```

Top 6 peaks for 10° ≤ 2θ ≤ 90°, low angle first:
Position (°2θ)  intensity
15.88  90
30.82  62
32.11  67
32.25  66
37.33  100
53.82  45


Simulated PXRD pattern
Compound: BaThIn2Cl8
Radiation: Cu Ka
Structure: a structure optimized by DFT (GGA-PBE)
Neutral-atom scattering factors, no anomalous dispersion.

Crystal structure
```
BaThIn2Cl8
1.0
4.9670 0.0000 0.0000
0.0000 10.0918 0.0000
-0.0160 0.0000 7.6923
Ba Th In Cl
1 1 2 8
Cartesian
0.0000 0.0000 0.0000
0.0000 5.0459 0.0000
2.4755 2.4317 3.8462
2.4755 7.6601 3.8462
4.9619 2.8327 1.6794
-0.0109 2.8327 6.0129
4.9619 7.2591 1.6794
-0.0109 7.2591 6.0129
2.4678 0.0000 5.7708
2.4799 5.0459 1.5558
2.4711 5.0459 6.1365
2.4832 0.0000 1.9215
```

Top 6 peaks for 10° ≤ 2θ ≤ 90°, low angle first:
Position (°2θ)  intensity
21.06  83
21.29  85
34.43  100
39.45  26
41.84  28
42.23  27


Simulated PXRD pattern
Compound: GdSbO4
Radiation: Cu Ka
Structure: a structure optimized by DFT (GGA-PBE)
Neutral-atom scattering factors, no anomalous dispersion.

Crystal structure
```
GdSbO4
1.0
5.4598 0.0000 0.0000
0.0378 7.6270 0.0000
0.2331 1.2677 7.6215
Gd Sb O
4 4 16
Cartesian
1.2688 3.4441 2.6116
1.5701 7.2552 2.7813
4.1606 1.6395 4.8402
4.4619 5.4506 5.0099
1.5087 3.3741 6.3797
1.7204 7.2078 6.3766
4.0103 1.6869 1.2449
4.2220 5.5206 1.2418
0.2419 7.5430 5.1003
0.3687 3.2673 4.7017
0.5209 6.2244 0.4834
0.9470 5.3176 6.3306
2.2816 1.4954 6.3086
2.2335 2.3907 0.5023
2.6881 5.1720 2.4167
2.8490 7.0680 4.6893
2.8817 1.8267 2.9322
3.0426 3.7227 5.2048
3.4971 6.5040 7.1192
3.4491 7.3993 1.3129
4.7837 3.5771 1.2909
5.2098 2.6703 7.1381
5.3620 5.6274 2.9198
5.4888 1.3517 2.5212
```

Top 6 peaks for 10° ≤ 2θ ≤ 90°, low angle first:
Position (°2θ)  intensity
28.15  81
28.83  100
28.98  67
29.83  23
32.82  37
50.19  26


Simulated PXRD pattern
Compound: LaZnGa3Ag
Radiation: Cu Ka
Structure: a structure optimized by DFT (GGA-PBE)
Neutral-atom scattering factors, no anomalous dispersion.

Crystal structure
```
LaZnGa3Ag
1.0
2.9120 -6.8241 0.0000
2.9120 6.8241 0.0000
0.0000 0.0000 6.5496
La Zn Ga Ag
2 2 6 2
Cartesian
2.9120 4.2555 4.9122
2.9120 -4.2555 1.6374
2.9120 1.3194 4.9122
2.9120 -1.3194 1.6374
1.2797 0.0000 0.0000
1.2797 0.0000 3.2748
2.9120 1.5942 1.6374
2.9120 -1.5942 4.9122
4.5442 0.0000 0.0000
4.5442 0.0000 3.2748
2.9120 4.6112 1.6374
2.9120 -4.6112 4.9122
```

Top 6 peaks for 10° ≤ 2θ ≤ 90°, low angle first:
Position (°2θ)  intensity
30.27  58
33.46  41
36.35  57
37.18  40
38.09  52
41.50  100


Simulated PXRD pattern
Compound: Pm3CuS2
Radiation: Cu Ka
Structure: a structure optimized by DFT (GGA-PBE)
Neutral-atom scattering factors, no anomalous dispersion.

Crystal structure
```
Pm3CuS2
1.0
4.0130 0.0000 0.0000
0.0000 5.7395 0.0000
0.0000 0.0000 12.4485
Pm Cu S
6 2 4
Cartesian
0.0000 0.0000 0.0000
0.0000 0.0000 4.0519
0.0000 0.0000 8.3966
2.0065 2.8698 2.1723
2.0065 2.8698 6.2242
2.0065 2.8698 10.2761
0.0000 2.8698 0.0000
2.0065 0.0000 6.2242
0.0000 2.8698 4.1791
0.0000 2.8698 8.2694
2.0065 0.0000 2.0451
2.0065 0.0000 10.4034
```

Top 6 peaks for 10° ≤ 2θ ≤ 90°, low angle first:
Position (°2θ)  intensity
26.51  40
27.11  39
31.00  100
31.17  50
44.53  72
54.58  19


Simulated PXRD pattern
Compound: La4DyIn2
Radiation: Cu Ka
Structure: a structure optimized by DFT (GGA-PBE)
Neutral-atom scattering factors, no anomalous dispersion.

Crystal structure
```
La4DyIn2
1.0
6.3350 0.0000 0.0000
3.1660 7.8812 0.0000
2.0973 0.3650 9.1941
La Dy In
8 2 4
Cartesian
0.0000 0.0000 0.0000
3.6635 5.8809 6.0597
3.9197 5.6846 2.2325
2.9408 2.3452 0.8015
6.4193 8.0631 5.9145
6.0363 1.8857 6.7419
6.3084 3.7821 1.2104
7.3754 4.1808 4.4842
7.1019 7.2803 2.6158
6.9786 0.9662 3.4341
4.1907 2.7236 3.9147
6.4654 5.1145 7.7884
8.4244 7.2141 8.7900
9.0705 3.0834 7.3357
```

Top 6 peaks for 10° ≤ 2θ ≤ 90°, low angle first:
Position (°2θ)  intensity
28.37  37
31.19  65
31.75  100
32.01  75
32.62  75
33.66  61


Simulated PXRD pattern
Compound: PaAlSiN
Radiation: Cu Ka
Structure: a structure optimized by DFT (GGA-PBE)
Neutral-atom scattering factors, no anomalous dispersion.

Crystal structure
```
PaAlSiN
1.0
3.9456 0.0000 0.0000
0.0000 3.9456 0.0000
0.0000 0.0000 8.4271
Pa Al Si N
2 2 2 2
Cartesian
0.9864 0.9864 1.1927
2.9592 2.9592 7.2344
0.9864 2.9592 4.2135
2.9592 0.9864 4.2135
0.9864 0.9864 5.8135
2.9592 2.9592 2.6136
0.9864 2.9592 0.0000
2.9592 0.9864 0.0000
```

Top 6 peaks for 10° ≤ 2θ ≤ 90°, low angle first:
Position (°2θ)  intensity
10.50  69
24.92  65
31.05  100
32.08  36
33.84  29
56.54  38


Simulated PXRD pattern
Compound: CeCo4B4
Radiation: Cu Ka
Structure: a structure optimized by DFT (GGA-PBE)
Neutral-atom scattering factors, no anomalous dispersion.

Crystal structure
```
CeCo4B4
1.0
5.0414 0.0000 0.0000
0.0000 5.0414 0.0000
0.0000 0.0000 7.0301
Ce Co B
2 8 8
Cartesian
1.2603 3.7810 1.7575
3.7810 1.2603 5.2726
0.0099 3.7810 4.3154
1.2603 2.5306 6.2297
1.2603 5.0315 6.2297
2.5108 3.7810 4.3154
2.5306 1.2603 2.7147
3.7810 0.0099 0.8003
3.7810 2.5108 0.8003
5.0315 1.2603 2.7147
0.3870 1.2603 0.6350
1.2603 0.3870 4.1501
1.2603 2.1337 4.1501
2.1337 1.2603 0.6350
2.9077 3.7810 6.3950
3.7810 2.9077 2.8800
3.7810 4.6544 2.8800
4.6544 3.7810 6.3950
```

Top 6 peaks for 10° ≤ 2θ ≤ 90°, low angle first:
Position (°2θ)  intensity
24.98  30
35.88  32
37.92  36
42.09  100
42.54  59
76.05  23


Simulated PXRD pattern
Compound: AcTbNd5Tm2
Radiation: Cu Ka
Structure: a structure optimized by DFT (GGA-PBE)
Neutral-atom scattering factors, no anomalous dispersion.

Crystal structure
```
AcTbNd5Tm2
1.0
2.9109 -8.7824 0.0000
2.9109 8.7824 0.0000
0.0000 0.0000 12.2364
Ac Tb Nd Tm
2 2 10 4
Cartesian
2.9109 6.7615 6.1182
2.9109 -6.7615 0.0000
2.9109 4.4364 0.0064
2.9109 -4.4364 6.1246
2.9109 7.4247 10.3272
2.9109 7.3746 2.0200
2.9109 4.0648 3.6303
2.9109 4.0461 8.6314
2.9109 1.0607 1.8087
2.9109 -1.0607 7.9269
2.9109 -4.0461 2.5132
2.9109 -4.0648 9.7485
2.9109 -7.3746 8.1382
2.9109 -7.4247 4.2090
2.9109 1.9474 6.1210
2.9109 1.0904 10.4562
2.9109 -1.0904 4.3380
2.9109 -1.9474 0.0028
```

Top 6 peaks for 10° ≤ 2θ ≤ 90°, low angle first:
Position (°2θ)  intensity
30.57  36
30.71  34
30.82  100
43.85  16
54.48  11
54.68  22


Simulated PXRD pattern
Compound: Tm6PuSe8
Radiation: Cu Ka
Structure: a structure optimized by DFT (GGA-PBE)
Neutral-atom scattering factors, no anomalous dispersion.

Crystal structure
```
Tm6PuSe8
1.0
0.0000 5.6765 5.6765
5.6765 0.0000 5.6765
5.6765 5.6765 0.0000
Tm Pu Se
6 1 8
Cartesian
2.8382 2.8382 0.0000
2.8382 0.0000 2.8382
5.6765 2.8382 2.8382
0.0000 2.8382 2.8382
2.8382 5.6765 2.8382
2.8382 2.8382 5.6765
0.0000 0.0000 0.0000
2.8382 2.8382 2.8382
5.6765 5.6765 2.9399
5.6765 2.9399 5.6765
8.4131 5.6765 5.6765
2.9399 5.6765 5.6765
5.6765 8.4131 5.6765
5.6765 5.6765 8.4131
8.5147 8.5147 8.5147
```

Top 6 peaks for 10° ≤ 2θ ≤ 90°, low angle first:
Position (°2θ)  intensity
27.21  20
31.52  100
45.18  74
56.13  26
74.80  33
83.41  25


What did the first record say?
Simulated PXRD pattern
Compound: PuPa2Ni9
Radiation: Cu Ka
Structure: a structure optimized by DFT (GGA-PBE)
Neutral-atom scattering factors, no anomalous dispersion.

Crystal structure
```
PuPa2Ni9
1.0
4.9193 0.0000 0.0000
-2.4597 4.2603 0.0000
0.0000 0.0000 16.3663
Pu Pa Ni
2 4 18
Cartesian
0.0000 2.8402 4.0916
2.4597 1.4201 12.2747
0.0000 2.8402 0.6948
0.0000 2.8402 7.4884
2.4597 1.4201 8.8780
2.4597 1.4201 15.6715
0.0000 0.0000 0.0000
0.0000 0.0000 4.0916
0.0000 0.0000 8.1832
0.0000 0.0000 12.2747
0.0000 1.4224 10.2386
0.0000 1.4224 14.3109
-1.2279 3.5491 10.2386
-1.2279 3.5491 14.3109
0.0000 2.8402 12.2747
1.2318 0.7112 2.0554
1.2318 0.7112 6.1277
1.2279 3.5491 10.2386
1.2279 3.5491 14.3109
2.4597 1.4201 4.0916
3.6875 0.7112 2.0554
3.6875 0.7112 6.1277
2.4597 2.8379 2.0554
2.4597 2.8379 6.1277
```

Top 6 peaks for 10° ≤ 2θ ≤ 90°, low angle first:
Position (°2θ)  intensity
21.55  19
34.56  79
36.53  52
42.88  100
64.49  27
70.15  16